# MnInClF4
Simulated X-ray powder pattern, Cu Kα (λ = 1.5418 Å). Input: a cell relaxed with PBE+U.
Peak positions follow from Bragg's law for the DFT cell and can differ from measured ones.

```
data_MnInClF4
_cell_length_a 9.649
_cell_length_b 8.119
_cell_length_c 7.211
_cell_angle_alpha 90.00
_cell_angle_beta 108.59
_cell_angle_gamma 90.00
_space_group_name_H-M_alt 'C 1 2/m 1'
_space_group_IT_number 12
loop_
_space_group_symop_operation_xyz
'x,y,z'
'-x,-y,-z'
'-x,y,-z'
'x,-y,z'
'x+1/2,y+1/2,z'
'-x+1/2,-y+1/2,-z'
'-x+1/2,y+1/2,-z'
'x+1/2,-y+1/2,z'
loop_
_atom_site_label
_atom_site_type_symbol
_atom_site_fract_x
_atom_site_fract_y
_atom_site_fract_z
Mn1 Mn 0.209 0.000 0.196
In1 In 0.154 0.500 0.216
Cl1 Cl 0.098 0.000 0.819
F1 F 0.085 0.500 0.885
F2 F 0.156 0.245 0.205
F3 F 0.175 0.500 0.510
```

Peak list (10 most intense, 5° ≤ 2θ ≤ 70°, by angle)
(0 0 1), d 6.835, rel. 33.1
(1 1 0), d 6.072, rel. 24.0
(2 0 0), d 4.573, rel. 28.3
(2 0 -1), d 4.525, rel. 41.1
(0 2 0), d 4.060, rel. 100.0
(0 0 2), d 3.417, rel. 50.4
(2 0 1), d 3.340, rel. 22.9
(4 0 -1), d 2.412, rel. 24.1
(0 0 3), d 2.278, rel. 20.5
(0 4 0), d 2.030, rel. 26.0